(1)
For BaB4Sb2O12, a DFT-relaxed cell (GGA-PBE, the Materials Project) gives the calculated XRD peak list in this record (Cu Kα X-rays).

abc: 6.9473 6.9473 11.2725
angles: 96.50 96.50 118.93
Atoms (fractional coordinates):
Ba1 0.0341 0.9659 0.7500
Ba2 0.9659 0.0341 0.2500
B1 0.1809 0.5236 0.8801
B2 0.3561 0.4097 0.6077
B3 0.4097 0.3561 0.1077
B4 0.4764 0.8191 0.6199
B5 0.5236 0.1809 0.3801
B6 0.5903 0.6439 0.8923
B7 0.6439 0.5903 0.3923
B8 0.8191 0.4764 0.1199
Sb1 0.0000 0.5000 0.5000
Sb2 0.3070 0.6930 0.2500
Sb3 0.5000 0.0000 0.0000
Sb4 0.6930 0.3070 0.7500
O1 0.0267 0.6666 0.1567
O2 0.1211 0.4864 0.3500
O3 0.1314 0.3192 0.5612
O4 0.2093 0.7324 0.9124
O5 0.2600 0.4138 0.1446
O6 0.2676 0.7907 0.5876
O7 0.3192 0.1314 0.0612
O8 0.3334 0.9733 0.3433
O9 0.3616 0.4854 0.8772
O10 0.4138 0.2600 0.6446
O11 0.4854 0.3616 0.3772
O12 0.4864 0.1211 0.8500
O13 0.5136 0.8789 0.1500
O14 0.5146 0.6384 0.6228
O15 0.5862 0.7400 0.3554
O16 0.6384 0.5146 0.1228
O17 0.6666 0.0267 0.6567
O18 0.6808 0.8686 0.9388
O19 0.7324 0.2093 0.4124
O20 0.7400 0.5862 0.8554
O21 0.7907 0.2676 0.0876
O22 0.8686 0.6808 0.4388
O23 0.8789 0.5136 0.6500
O24 0.9733 0.3334 0.8433

Principal peaks in the range 10° ≤ 2θ ≤ 90°, by intensity:
| Position (°2θ) | I (rel.) |
| --- | --- |
| 18.2 | 100 |
| 26.0 | 84 |
| 33.7 | 67 |
| 27.3 | 61 |
| 27.9 | 53 |
| 32.1 | 50 |
| 25.8 | 40 |
| 16.9 | 39 |
| 40.1 | 35 |
| 29.9 | 33 |

(2)
For Ba2Sc2B4O11, a DFT-relaxed cell (GGA-PBE, the Materials Project) gives the calculated XRD peak list in this record (Cu Kα X-rays).

abc: 9.3771 9.3771 6.4240
angles: 98.69 98.69 60.60
Atoms (fractional coordinates):
Ba1 0.0283 0.6966 0.5752
Ba2 0.3034 0.9717 0.9248
Ba3 0.6966 0.0283 0.0752
Ba4 0.9717 0.3034 0.4248
Sc1 0.0000 0.5000 0.0000
Sc2 0.5000 0.0000 0.5000
Sc3 0.5000 0.5000 0.0000
Sc4 0.5000 0.5000 0.5000
B1 0.1199 0.7788 0.0882
B2 0.2212 0.8801 0.4118
B3 0.3290 0.3312 0.7450
B4 0.3312 0.3290 0.2450
B5 0.6688 0.6710 0.7550
B6 0.6710 0.6688 0.2550
B7 0.7788 0.1199 0.5882
B8 0.8801 0.2212 0.9118
O1 0.0018 0.2625 0.9787
O2 0.0857 0.9143 0.2500
O3 0.1633 0.4049 0.7634
O4 0.1667 0.4291 0.2654
O5 0.2625 0.0018 0.4787
O6 0.2659 0.7141 0.0023
O7 0.2859 0.7341 0.4977
O8 0.3981 0.4276 0.7058
O9 0.4049 0.1633 0.2634
O10 0.4276 0.3981 0.2058
O11 0.4291 0.1667 0.7654
O12 0.5709 0.8333 0.2346
O13 0.5724 0.6019 0.7942
O14 0.5951 0.8367 0.7366
O15 0.6019 0.5724 0.2942
O16 0.7141 0.2659 0.5023
O17 0.7341 0.2859 0.9977
O18 0.7375 0.9982 0.5213
O19 0.8333 0.5709 0.7346
O20 0.8367 0.5951 0.2366
O21 0.9143 0.0857 0.7500
O22 0.9982 0.7375 0.0213

Principal peaks in the range 10° ≤ 2θ ≤ 90°, by intensity:
| Position (°2θ) | I (rel.) |
| --- | --- |
| 30.6 | 100 |
| 28.9 | 94 |
| 25.5 | 87 |
| 17.0 | 80 |
| 31.7 | 64 |
| 27.1 | 63 |
| 41.5 | 53 |
| 32.2 | 44 |
| 19.2 | 42 |
| 49.4 | 41 |